Diffraction record for Li8MgCo13O28. The powder X-ray diffraction pattern is simulated, not measured: it uses a PBE+U-relaxed structure and Cu Kα, 1.54184 Å.

Structure:
```
Li8MgCo13O28
1.0
7.707 0.000 0.000
-2.117 8.023 0.000
-2.173 -2.539 8.127
Li Mg Co O
8 1 13 28
Direct
0.000 0.000 0.000
0.077 0.224 0.779
0.213 0.641 0.355
0.369 0.078 0.921
0.498 0.500 0.501
0.627 0.924 0.070
0.784 0.360 0.644
0.920 0.781 0.214
0.355 0.574 0.928
0.073 0.711 0.779
0.145 0.933 0.568
0.216 0.149 0.362
0.279 0.354 0.140
0.433 0.790 0.713
0.499 0.999 0.493
0.563 0.211 0.279
0.638 0.430 0.065
0.715 0.650 0.857
0.786 0.858 0.640
0.864 0.077 0.428
0.923 0.291 0.216
0.996 0.501 0.998
0.014 0.273 0.018
0.057 0.952 0.758
0.064 0.477 0.808
0.142 0.158 0.564
0.167 0.713 0.583
0.211 0.378 0.334
0.215 0.910 0.379
0.253 0.572 0.127
0.278 0.128 0.145
0.346 0.813 0.894
0.362 0.334 0.956
0.408 0.007 0.689
0.459 0.575 0.728
0.499 0.241 0.475
0.518 0.770 0.528
0.543 0.429 0.267
0.570 0.991 0.293
0.640 0.187 0.092
0.645 0.670 0.045
0.698 0.874 0.845
0.736 0.428 0.871
0.783 0.088 0.615
0.793 0.632 0.665
0.855 0.296 0.415
0.884 0.860 0.442
0.916 0.521 0.187
0.930 0.047 0.229
0.978 0.727 0.981
```

Top 10 peaks for 2θ = 10–90°, in order of rising 2θ:
2θ 18.1, rel. 100.0, (0 1 1); 2θ 36.1, rel. 23.0, (3 -1 0); 2θ 36.2, rel. 11.2, (1 -3 2); 2θ 37.8, rel. 6.5, (1 -2 3); 2θ 43.3, rel. 19.3, (3 0 1); 2θ 43.7, rel. 37.3, (1 -4 1); 2θ 57.2, rel. 5.0, (1 -5 0); 2θ 63.8, rel. 5.0, (5 0 -3); 2θ 64.0, rel. 5.0, (1 4 -5); 2θ 64.1, rel. 5.1, (4 -4 2)

=====

Diffraction record for LiMg6CoO8. The powder X-ray diffraction pattern is simulated, not measured: it uses a PBE+U-relaxed structure and Cu Kα, 1.54184 Å.

Structure:
```
LiMg6CoO8
1.0
4.206 0.000 0.000
0.000 4.206 0.000
0.000 0.000 8.491
Li Mg Co O
1 6 1 8
Direct
0.000 0.000 0.000
0.000 0.000 0.500
0.000 0.500 0.243
0.000 0.500 0.757
0.500 0.000 0.243
0.500 0.000 0.757
0.500 0.500 0.500
0.500 0.500 0.000
0.000 0.000 0.256
0.000 0.000 0.744
0.000 0.500 0.000
0.000 0.500 0.500
0.500 0.000 0.000
0.500 0.000 0.500
0.500 0.500 0.236
0.500 0.500 0.764
```

Top 10 peaks for 2θ = 10–90°, in order of rising 2θ:
2θ 21.1, rel. 18.2, (1 0 0); 2θ 23.6, rel. 32.2, (1 0 1); 2θ 29.9, rel. 15.3, (1 0 2); 2θ 36.9, rel. 21.2, (1 1 2); 2θ 42.6, rel. 50.5, (0 0 4); 2θ 43.0, rel. 100.0, (2 0 0); 2θ 62.1, rel. 55.6, (2 0 4); 2θ 62.4, rel. 27.9, (2 2 0); 2θ 74.8, rel. 8.5, (3 1 2); 2θ 78.5, rel. 25.0, (2 2 4)